# 1
The following is a calculated XRD peak list of Ni12Ge7Pd2. It was derived from the GGA-PBE geometry in Alexandria, using Cu Kα (weighted mean of Kα1 and Kα2).
No peak broadening, texture or thermal motion is included.

```
data_Ni12Ge7Pd2
_chemical_formula_sum 'Ni12 Ge7 Pd2'
_symmetry_space_group_name_H-M 'P -6'
_symmetry_Int_Tables_number 174
_symmetry_space_group_name_Hall 'P -6'
_cell_length_a 10.2406
_cell_length_b 10.2406
_cell_length_c 2.9109
_cell_angle_alpha 90.00
_cell_angle_beta 90.00
_cell_angle_gamma 120.00
loop_
_atom_site_label
_atom_site_type_symbol
_atom_site_fract_x
_atom_site_fract_y
_atom_site_fract_z
_atom_site_occupancy
Ni1 Ni 0.0483 0.2577 0.0000 1
Ni2 Ni 0.1191 0.7086 0.5000 1
Ni3 Ni 0.4097 0.1633 0.5000 1
Ni4 Ni 0.5125 0.4126 0.0000 1
Ge1 Ge 0.0883 0.4647 0.5000 1
Ge2 Ge 0.2453 0.2021 0.0000 1
Ge3 Ge 0.6667 0.3333 0.5000 1
Pd1 Pd 0.0000 0.0000 0.5000 1
Pd2 Pd 0.3333 0.6667 0.0000 1
```

Main lines, most intense first (2θ = 15–90°):
2θ = 41.07°, rel. 100
2θ = 46.95°, rel. 74
2θ = 83.02°, rel. 26
2θ = 64.11°, rel. 14
2θ = 83.15°, rel. 14
2θ = 48.45°, rel. 14
2θ = 63.97°, rel. 12
2θ = 43.64°, rel. 10
2θ = 55.07°, rel. 9
2θ = 36.94°, rel. 8



# 2
The following is a calculated XRD peak list of Ni8GePd2. It was derived from the GGA-PBE geometry in Alexandria, using Cu Kα (weighted mean of Kα1 and Kα2).
No peak broadening, texture or thermal motion is included.

```
data_Ni8GePd2
_chemical_formula_sum 'Ni16 Ge2 Pd4'
_symmetry_space_group_name_H-M 'A m m 2'
_symmetry_Int_Tables_number 38
_symmetry_space_group_name_Hall 'A 2 -2'
_cell_length_a 3.9374
_cell_length_b 9.7928
_cell_length_c 7.3938
_cell_angle_alpha 90.00
_cell_angle_beta 90.00
_cell_angle_gamma 90.00
loop_
_atom_site_label
_atom_site_type_symbol
_atom_site_fract_x
_atom_site_fract_y
_atom_site_fract_z
_atom_site_occupancy
Ni1 Ni 0.0000 0.0000 0.0000 1
Ni2 Ni 0.0000 0.0000 0.3460 1
Ni3 Ni 0.0000 0.2318 0.6741 1
Ni4 Ni 0.5000 0.1284 0.8364 1
Ni5 Ni 0.5000 0.1286 0.5102 1
Ge1 Ge 0.0000 0.0000 0.6729 1
Pd1 Pd 0.5000 0.1300 0.1731 1
```

Main lines, most intense first (2θ = 15–90°):
2θ = 43.53°, rel. 100
2θ = 44.34°, rel. 89
2θ = 46.13°, rel. 80
2θ = 67.29°, rel. 22
2θ = 24.07°, rel. 20
2θ = 60.36°, rel. 19
2θ = 79.18°, rel. 16
2θ = 83.59°, rel. 14
2θ = 84.15°, rel. 13
2θ = 83.09°, rel. 12



# 3
The following is a calculated XRD peak list of PmNiGePd. It was derived from the GGA-PBE geometry in Alexandria, using Cu Kα (weighted mean of Kα1 and Kα2).
No peak broadening, texture or thermal motion is included.

```
data_PmNiGePd
_chemical_formula_sum 'Pm4 Ni4 Ge4 Pd4'
_symmetry_space_group_name_H-M 'F -4 3 m'
_symmetry_Int_Tables_number 216
_symmetry_space_group_name_Hall 'F -4 2 3'
_cell_length_a 6.5963
_cell_length_b 6.5963
_cell_length_c 6.5963
_cell_angle_alpha 90.00
_cell_angle_beta 90.00
_cell_angle_gamma 90.00
loop_
_atom_site_label
_atom_site_type_symbol
_atom_site_fract_x
_atom_site_fract_y
_atom_site_fract_z
_atom_site_occupancy
Pm1 Pm 0.0000 0.0000 0.0000 1
Ni1 Ni 0.2500 0.2500 0.2500 1
Ge1 Ge 0.0000 0.0000 0.5000 1
Pd1 Pd 0.2500 0.2500 0.7500 1
```

Main lines, most intense first (2θ = 15–90°):
2θ = 38.61°, rel. 100
2θ = 69.86°, rel. 34
2θ = 55.74°, rel. 17
2θ = 23.36°, rel. 11
2θ = 82.77°, rel. 11
2θ = 45.61°, rel. 6
2θ = 61.25°, rel. 2
2θ = 87.49°, rel. 2
2θ = 27.04°, rel. 2
2θ = 74.79°, rel. 2



# 4
The following is a calculated XRD peak list of PmNiGe2Pd2. It was derived from the GGA-PBE geometry in Alexandria, using Cu Kα (weighted mean of Kα1 and Kα2).
No peak broadening, texture or thermal motion is included.

```
data_PmNiGe2Pd2
_chemical_formula_sum 'Pm2 Ni2 Ge4 Pd4'
_symmetry_space_group_name_H-M 'I 4/m m m'
_symmetry_Int_Tables_number 139
_symmetry_space_group_name_Hall '-I 4 2'
_cell_length_a 4.0117
_cell_length_b 4.0117
_cell_length_c 15.0120
_cell_angle_alpha 90.00
_cell_angle_beta 90.00
_cell_angle_gamma 90.00
loop_
_atom_site_label
_atom_site_type_symbol
_atom_site_fract_x
_atom_site_fract_y
_atom_site_fract_z
_atom_site_occupancy
Pm1 Pm 0.0000 0.0000 0.0000 1
Ni1 Ni 0.0000 0.0000 0.5000 1
Ge1 Ge 0.0000 0.0000 0.3511 1
Pd1 Pd 0.0000 0.5000 0.2500 1
```

Main lines, most intense first (2θ = 15–90°):
2θ = 33.78°, rel. 100
2θ = 48.52°, rel. 86
2θ = 28.52°, rel. 53
2θ = 45.20°, rel. 50
2θ = 23.71°, rel. 39
2θ = 85.90°, rel. 38
2θ = 76.09°, rel. 21
2θ = 68.47°, rel. 20
2θ = 51.67°, rel. 18
2θ = 54.32°, rel. 18



# 5
The following is a calculated XRD peak list of Pu3NiGe6Pd2. It was derived from the GGA-PBE geometry in Alexandria, using Cu Kα (weighted mean of Kα1 and Kα2).
No peak broadening, texture or thermal motion is included.

```
data_Pu3NiGe6Pd2
_chemical_formula_sum 'Pu3 Ni1 Ge6 Pd2'
_symmetry_space_group_name_H-M 'P -3 m 1'
_symmetry_Int_Tables_number 164
_symmetry_space_group_name_Hall '-P 3 2"'
_cell_length_a 5.7921
_cell_length_b 5.7921
_cell_length_c 8.0933
_cell_angle_alpha 90.00
_cell_angle_beta 90.00
_cell_angle_gamma 120.00
loop_
_atom_site_label
_atom_site_type_symbol
_atom_site_fract_x
_atom_site_fract_y
_atom_site_fract_z
_atom_site_occupancy
Pu1 Pu 0.0000 0.0000 0.0000 1
Pu2 Pu 0.3333 0.6667 0.6218 1
Ni1 Ni 0.0000 0.0000 0.5000 1
Ge1 Ge 0.1787 0.3574 0.2930 1
Pd1 Pd 0.3333 0.6667 0.0319 1
```

Main lines, most intense first (2θ = 15–90°):
2θ = 30.88°, rel. 100
2θ = 37.54°, rel. 78
2θ = 42.40°, rel. 72
2θ = 38.22°, rel. 66
2θ = 28.34°, rel. 64
2θ = 20.83°, rel. 40
2θ = 33.21°, rel. 38
2θ = 64.34°, rel. 35
2θ = 45.98°, rel. 30
2θ = 48.52°, rel. 26



# 6
The following is a calculated XRD peak list of Tb2Ni3Ge4Pd. It was derived from the GGA-PBE geometry in Alexandria, using Cu Kα (weighted mean of Kα1 and Kα2).
No peak broadening, texture or thermal motion is included.

```
data_Tb2Ni3Ge4Pd
_chemical_formula_sum 'Tb2 Ni3 Ge4 Pd1'
_symmetry_space_group_name_H-M 'P -4 m 2'
_symmetry_Int_Tables_number 115
_symmetry_space_group_name_Hall 'P -4 -2'
_cell_length_a 4.1393
_cell_length_b 4.1393
_cell_length_c 9.7827
_cell_angle_alpha 90.00
_cell_angle_beta 90.00
_cell_angle_gamma 90.00
loop_
_atom_site_label
_atom_site_type_symbol
_atom_site_fract_x
_atom_site_fract_y
_atom_site_fract_z
_atom_site_occupancy
Tb1 Tb 0.0000 0.5000 0.2452 1
Ni1 Ni 0.0000 0.5000 0.8784 1
Ni2 Ni 0.5000 0.5000 0.5000 1
Ge1 Ge 0.0000 0.0000 0.0000 1
Ge2 Ge 0.0000 0.5000 0.6402 1
Ge3 Ge 0.5000 0.5000 0.0000 1
Pd1 Pd 0.0000 0.0000 0.5000 1
```

Main lines, most intense first (2θ = 15–90°):
2θ = 35.75°, rel. 100
2θ = 35.03°, rel. 57
2θ = 43.74°, rel. 55
2θ = 57.22°, rel. 27
2θ = 51.67°, rel. 23
2θ = 75.13°, rel. 22
2θ = 69.96°, rel. 18
2θ = 63.58°, rel. 17
2θ = 30.54°, rel. 13
2θ = 65.54°, rel. 12



# 7
The following is a calculated XRD peak list of Y2Ni3Ge4Pd. It was derived from the GGA-PBE geometry in Alexandria, using Cu Kα (weighted mean of Kα1 and Kα2).
No peak broadening, texture or thermal motion is included.

```
data_Y2Ni3Ge4Pd
_chemical_formula_sum 'Y2 Ni3 Ge4 Pd1'
_symmetry_space_group_name_H-M 'P -4 m 2'
_symmetry_Int_Tables_number 115
_symmetry_space_group_name_Hall 'P -4 -2'
_cell_length_a 4.1355
_cell_length_b 4.1355
_cell_length_c 9.7879
_cell_angle_alpha 90.00
_cell_angle_beta 90.00
_cell_angle_gamma 90.00
loop_
_atom_site_label
_atom_site_type_symbol
_atom_site_fract_x
_atom_site_fract_y
_atom_site_fract_z
_atom_site_occupancy
Y1 Y 0.0000 0.5000 0.2454 1
Ni1 Ni 0.0000 0.5000 0.8783 1
Ni2 Ni 0.5000 0.5000 0.5000 1
Ge1 Ge 0.0000 0.0000 0.0000 1
Ge2 Ge 0.0000 0.5000 0.6402 1
Ge3 Ge 0.5000 0.5000 0.0000 1
Pd1 Pd 0.0000 0.0000 0.5000 1
```

Main lines, most intense first (2θ = 15–90°):
2θ = 35.77°, rel. 100
2θ = 43.78°, rel. 62
2θ = 35.03°, rel. 47
2θ = 48.51°, rel. 25
2θ = 57.26°, rel. 22
2θ = 75.21°, rel. 21
2θ = 51.66°, rel. 20
2θ = 63.64°, rel. 20
2θ = 69.98°, rel. 16
2θ = 65.52°, rel. 11



# 8
The following is a calculated XRD peak list of PmNiGe. It was derived from the GGA-PBE geometry in Alexandria, using Cu Kα (weighted mean of Kα1 and Kα2).
No peak broadening, texture or thermal motion is included.

```
data_PmNiGe
_chemical_formula_sum 'Pm8 Ni8 Ge8'
_symmetry_space_group_name_H-M 'P m m n'
_symmetry_Int_Tables_number 59
_cell_length_a 4.3122
_cell_length_b 14.4629
_cell_length_c 7.3452
_cell_angle_alpha 90.00
_cell_angle_beta 90.00
_cell_angle_gamma 90.00
loop_
_symmetry_equiv_pos_as_xyz
'x,y,z'
'-x,-y,-z'
'-x+1/2,-y+1/2,z'
'x+1/2,y+1/2,-z'
'x+1/2,-y,-z'
'-x+1/2,y,z'
'-x,y+1/2,-z'
'x,-y+1/2,z'
loop_
_atom_site_label
_atom_site_type_symbol
_atom_site_fract_x
_atom_site_fract_y
_atom_site_fract_z
_atom_site_occupancy
Pm1 Pm 0.2500 0.0045 0.2115 1
Pm2 Pm 0.2500 0.2500 0.2955 1
Pm3 Pm 0.2500 0.7500 0.2850 1
Ni1 Ni 0.2500 0.1409 0.9219 1
Ni2 Ni 0.2500 0.5943 0.5799 1
Ge1 Ge 0.2500 0.1014 0.5911 1
Ge2 Ge 0.2500 0.6505 0.9117 1
```

Main lines, most intense first (2θ = 15–90°):
2θ = 34.60°, rel. 100
2θ = 42.46°, rel. 43
2θ = 34.82°, rel. 42
2θ = 41.90°, rel. 30
2θ = 34.39°, rel. 29
2θ = 55.58°, rel. 21
2θ = 23.93°, rel. 16
2θ = 67.73°, rel. 15
2θ = 39.34°, rel. 15
2θ = 71.83°, rel. 12



# 9
The following is a calculated XRD peak list of Pm2Ni5Ge4. It was derived from the GGA-PBE geometry in Alexandria, using Cu Kα (weighted mean of Kα1 and Kα2).
No peak broadening, texture or thermal motion is included.

```
data_Pm2Ni5Ge4
_chemical_formula_sum 'Pm8 Ni20 Ge16'
_symmetry_space_group_name_H-M 'F m m m'
_symmetry_Int_Tables_number 69
_symmetry_space_group_name_Hall '-F 2 2'
_cell_length_a 5.4628
_cell_length_b 9.5889
_cell_length_c 13.9126
_cell_angle_alpha 90.00
_cell_angle_beta 90.00
_cell_angle_gamma 90.00
loop_
_atom_site_label
_atom_site_type_symbol
_atom_site_fract_x
_atom_site_fract_y
_atom_site_fract_z
_atom_site_occupancy
Pm1 Pm 0.0000 0.0000 0.1389 1
Ni1 Ni 0.0000 0.0000 0.5000 1
Ni2 Ni 0.2500 0.2500 0.0000 1
Ni3 Ni 0.2500 0.2500 0.2500 1
Ge1 Ge 0.0000 0.1543 0.3700 1
```

Main lines, most intense first (2θ = 15–90°):
2θ = 37.94°, rel. 100
2θ = 42.06°, rel. 52
2θ = 33.10°, rel. 36
2θ = 31.78°, rel. 25
2θ = 26.88°, rel. 21
2θ = 46.34°, rel. 18
2θ = 61.97°, rel. 16
2θ = 57.12°, rel. 16
2θ = 67.96°, rel. 16
2θ = 52.63°, rel. 16



# 10
The following is a calculated XRD peak list of Pm8Ni2Ge. It was derived from the GGA-PBE geometry in Alexandria, using Cu Kα (weighted mean of Kα1 and Kα2).
No peak broadening, texture or thermal motion is included.

```
data_Pm8Ni2Ge
_chemical_formula_sum 'Pm16 Ni4 Ge2'
_symmetry_space_group_name_H-M 'C 1 2/m 1'
_symmetry_Int_Tables_number 12
_symmetry_space_group_name_Hall '-C 2y'
_cell_length_a 18.4544
_cell_length_b 5.1404
_cell_length_c 6.8904
_cell_angle_alpha 90.00
_cell_angle_beta 111.24
_cell_angle_gamma 90.00
loop_
_atom_site_label
_atom_site_type_symbol
_atom_site_fract_x
_atom_site_fract_y
_atom_site_fract_z
_atom_site_occupancy
Pm1 Pm 0.0335 0.0000 0.2918 1
Pm2 Pm 0.0955 0.5000 0.9724 1
Pm3 Pm 0.1806 0.5000 0.5073 1
Pm4 Pm 0.1975 0.0000 0.8484 1
Ni1 Ni 0.1684 0.0000 0.2203 1
Ge1 Ge 0.0000 0.5000 0.5000 1
```

Main lines, most intense first (2θ = 15–90°):
2θ = 31.64°, rel. 100
2θ = 34.91°, rel. 99
2θ = 30.15°, rel. 96
2θ = 29.93°, rel. 60
2θ = 31.26°, rel. 33
2θ = 38.11°, rel. 22
2θ = 28.87°, rel. 21
2θ = 60.58°, rel. 21
2θ = 31.75°, rel. 19
2θ = 42.58°, rel. 19



# 11
The following is a calculated XRD peak list of PmNi2Ge2. It was derived from the GGA-PBE geometry in Alexandria, using Cu Kα (weighted mean of Kα1 and Kα2).
No peak broadening, texture or thermal motion is included.

```
data_PmNi2Ge2
_chemical_formula_sum 'Pm2 Ni4 Ge4'
_symmetry_space_group_name_H-M 'P 4/n m m'
_symmetry_Int_Tables_number 129
_cell_length_a 4.1519
_cell_length_b 4.1519
_cell_length_c 9.6702
_cell_angle_alpha 90.00
_cell_angle_beta 90.00
_cell_angle_gamma 90.00
loop_
_symmetry_equiv_pos_as_xyz
'x,y,z'
'-x,-y,-z'
'-y+1/2,x,z'
'y+1/2,-x,-z'
'-x+1/2,-y+1/2,z'
'x+1/2,y+1/2,-z'
'y,-x+1/2,z'
'-y,x+1/2,-z'
'x+1/2,-y,-z'
'-x+1/2,y,z'
'-y,-x,-z'
'y,x,z'
'-x,y+1/2,-z'
'x,-y+1/2,z'
'y+1/2,x+1/2,-z'
'-y+1/2,-x+1/2,z'
loop_
_atom_site_label
_atom_site_type_symbol
_atom_site_fract_x
_atom_site_fract_y
_atom_site_fract_z
_atom_site_occupancy
Pm1 Pm 0.2500 0.2500 0.2485 1
Ni1 Ni 0.2500 0.2500 0.6254 1
Ni2 Ni 0.2500 0.7500 0.0000 1
Ge1 Ge 0.2500 0.2500 0.8725 1
Ge2 Ge 0.2500 0.7500 0.5000 1
```

Main lines, most intense first (2θ = 15–90°):
2θ = 35.78°, rel. 100
2θ = 35.25°, rel. 73
2θ = 43.60°, rel. 62
2θ = 57.26°, rel. 35
2θ = 52.17°, rel. 25
2θ = 74.95°, rel. 22
2θ = 70.28°, rel. 20
2θ = 63.36°, rel. 20
2θ = 30.45°, rel. 20
2θ = 66.14°, rel. 15



# 12
The following is a calculated XRD peak list of PmNi2Ge3. It was derived from the GGA-PBE geometry in Alexandria, using Cu Kα (weighted mean of Kα1 and Kα2).
No peak broadening, texture or thermal motion is included.

```
data_PmNi2Ge3
_chemical_formula_sum 'Pm4 Ni8 Ge12'
_symmetry_space_group_name_H-M 'I 4/m m m'
_symmetry_Int_Tables_number 139
_symmetry_space_group_name_Hall '-I 4 2'
_cell_length_a 4.1314
_cell_length_b 4.1314
_cell_length_c 24.3011
_cell_angle_alpha 90.00
_cell_angle_beta 90.00
_cell_angle_gamma 90.00
loop_
_atom_site_label
_atom_site_type_symbol
_atom_site_fract_x
_atom_site_fract_y
_atom_site_fract_z
_atom_site_occupancy
Pm1 Pm 0.0000 0.0000 0.1528 1
Ni1 Ni 0.0000 0.0000 0.4004 1
Ni2 Ni 0.0000 0.5000 0.2500 1
Ge1 Ge 0.0000 0.0000 0.3016 1
Ge2 Ge 0.0000 0.5000 0.0516 1
```

Main lines, most intense first (2θ = 15–90°):
2θ = 34.05°, rel. 100
2θ = 43.83°, rel. 99
2θ = 33.72°, rel. 74
2θ = 37.98°, rel. 58
2θ = 31.50°, rel. 41
2θ = 56.41°, rel. 33
2θ = 63.71°, rel. 32
2θ = 39.89°, rel. 31
2θ = 48.74°, rel. 25
2θ = 53.83°, rel. 23



# 13
The following is a calculated XRD peak list of Pm2NiGe4. It was derived from the GGA-PBE geometry in Alexandria, using Cu Kα (weighted mean of Kα1 and Kα2).
No peak broadening, texture or thermal motion is included.

```
data_Pm2NiGe4
_chemical_formula_sum 'Pm8 Ni4 Ge16'
_symmetry_space_group_name_H-M 'F m m 2'
_symmetry_Int_Tables_number 42
_symmetry_space_group_name_Hall 'F 2 -2'
_cell_length_a 8.2309
_cell_length_b 8.2529
_cell_length_c 9.2044
_cell_angle_alpha 90.00
_cell_angle_beta 90.00
_cell_angle_gamma 90.00
loop_
_atom_site_label
_atom_site_type_symbol
_atom_site_fract_x
_atom_site_fract_y
_atom_site_fract_z
_atom_site_occupancy
Pm1 Pm 0.2500 0.2500 0.0000 1
Ni1 Ni 0.0000 0.0000 0.1861 1
Ge1 Ge 0.0000 0.2242 0.7537 1
Ge2 Ge 0.2239 0.0000 0.7545 1
```

Main lines, most intense first (2θ = 15–90°):
2θ = 36.50°, rel. 100
2θ = 29.09°, rel. 78
2θ = 21.56°, rel. 32
2θ = 60.29°, rel. 25
2θ = 39.15°, rel. 25
2θ = 53.56°, rel. 23
2θ = 69.21°, rel. 21
2θ = 43.88°, rel. 20
2θ = 44.01°, rel. 20
2θ = 64.82°, rel. 18